Entry 1:
For Rb4Ce3AgTe8, the GGA-PBE geometry in Alexandria gives the simulated powder XRD pattern in this record (Cu Kα, 1.54184 Å).

The 12 most intense peaks (2θ = 5–70°), low angle first:
| h k l | Position (°2θ) | I (rel.) |
| --- | --- | --- |
| 0 0 1 | 10.46 | 22 |
| 4 0 0 | 26.35 | 100 |
| 2 2 -3 | 33.37 | 13 |
| 2 2 2 | 36.15 | 31 |
| 0 4 0 | 39.02 | 39 |
| 6 2 -3 | 40.51 | 5 |
| 4 0 -5 | 45.40 | 9 |
| 4 4 0 | 47.70 | 19 |
| 8 0 0 | 54.24 | 12 |
| 6 2 2 | 59.27 | 8 |
| 10 2 -2 | 63.25 | 17 |
| 8 4 0 | 68.82 | 15 |

Structural model:
```
data_Rb4Ce3AgTe8
_chemical_formula_sum 'Rb8 Ce6 Ag2 Te16'
_cell_length_a 16.0044
_cell_length_b 9.2285
_cell_length_c 9.9985
_cell_angle_alpha 90.00
_cell_angle_beta 122.26
_cell_angle_gamma 90.00
_symmetry_space_group_name_H-M 'C 1 2/m 1'
_symmetry_Int_Tables_number 12
_symmetry_space_group_name_Hall '-C 2y'
loop_
_atom_site_label
_atom_site_fract_x
_atom_site_fract_y
_atom_site_fract_z
Rb1 0.0000 0.0000 0.0000
Rb2 0.0000 0.5000 0.0000
Rb3 0.2500 0.2500 0.0000
Ce1 0.0000 0.0000 0.5000
Ce2 0.2500 0.2500 0.5000
Ag1 0.0000 0.5000 0.5000
Te1 0.0189 0.2476 0.3043
Te2 0.2345 0.0000 0.7035
Te3 0.2343 0.5000 0.6963
```



Entry 2:
For Ce6AgRh3, the GGA-PBE geometry in Alexandria gives the simulated powder XRD pattern in this record (Cu Kα, 1.54184 Å).

The 12 most intense peaks (2θ = 5–70°), low angle first:
| h k l | Position (°2θ) | I (rel.) |
| --- | --- | --- |
| 1 1 1 | 16.57 | 33 |
| 0 4 1 | 29.20 | 59 |
| 2 0 2 | 30.76 | 28 |
| 2 4 0 | 30.91 | 23 |
| 2 2 2 | 33.50 | 92 |
| 2 4 1 | 33.64 | 74 |
| 3 3 1 | 34.18 | 95 |
| 3 1 2 | 36.60 | 100 |
| 3 5 0 | 41.37 | 33 |
| 0 4 3 | 47.79 | 25 |
| 6 0 0 | 50.29 | 31 |
| 1 7 2 | 54.74 | 27 |

Structural model:
```
data_Ce6AgRh3
_chemical_formula_sum 'Ce24 Ag4 Rh12'
_cell_length_a 10.8863
_cell_length_b 13.6613
_cell_length_c 6.8765
_cell_angle_alpha 90.00
_cell_angle_beta 90.00
_cell_angle_gamma 90.00
_symmetry_space_group_name_H-M 'C m c 21'
_symmetry_Int_Tables_number 36
_symmetry_space_group_name_Hall 'C 2c -2'
loop_
_atom_site_label
_atom_site_fract_x
_atom_site_fract_y
_atom_site_fract_z
Ce1 0.0000 0.0040 0.0000
Ce2 0.0000 0.2362 0.2519
Ce3 0.1634 0.4319 0.4546
Ce4 0.1958 0.2972 0.0060
Ag1 0.0000 0.2100 0.7141
Rh1 0.0000 0.4405 0.1408
Rh2 0.1780 0.0828 0.2465
```



Entry 3:
For CeAg3S4, the GGA-PBE geometry in Alexandria gives the simulated powder XRD pattern in this record (Cu Kα, 1.54184 Å).

The 12 most intense peaks (2θ = 5–70°), low angle first:
| h k l | Position (°2θ) | I (rel.) |
| --- | --- | --- |
| 0 0 1 | 23.46 | 53 |
| 2 0 0 | 25.21 | 46 |
| 0 4 0 | 25.87 | 40 |
| 0 2 1 | 26.84 | 35 |
| 1 1 1 | 27.47 | 77 |
| 1 3 1 | 33.16 | 35 |
| 2 4 0 | 36.44 | 100 |
| 2 2 1 | 37.15 | 39 |
| 1 5 1 | 42.53 | 47 |
| 2 4 1 | 43.79 | 31 |
| 3 1 1 | 45.84 | 31 |
| 2 4 2 | 61.71 | 40 |

Structural model:
```
data_CeAg3S4
_chemical_formula_sum 'Ce2 Ag6 S8'
_cell_length_a 7.0642
_cell_length_b 13.7739
_cell_length_c 3.7923
_cell_angle_alpha 90.00
_cell_angle_beta 90.00
_cell_angle_gamma 90.00
_symmetry_space_group_name_H-M 'C m m m'
_symmetry_Int_Tables_number 65
_symmetry_space_group_name_Hall '-C 2 2'
loop_
_atom_site_label
_atom_site_fract_x
_atom_site_fract_y
_atom_site_fract_z
Ce1 0.0000 0.0000 0.0000
Ag1 0.0000 0.2618 0.5000
Ag2 0.0000 0.5000 0.5000
S1 0.2207 0.1146 0.5000
```



Entry 4:
For CeAgS4, the GGA-PBE geometry in Alexandria gives the simulated powder XRD pattern in this record (Cu Kα, 1.54184 Å).

The 12 most intense peaks (2θ = 5–70°), low angle first:
| h k l | Position (°2θ) | I (rel.) |
| --- | --- | --- |
| 0 0 2 | 15.98 | 100 |
| 1 1 0 | 16.53 | 16 |
| 2 0 0 | 23.05 | 44 |
| 0 2 0 | 23.86 | 18 |
| 0 2 2 | 28.85 | 28 |
| 0 0 4 | 32.28 | 42 |
| 2 2 0 | 33.42 | 50 |
| 2 2 2 | 37.25 | 81 |
| 2 0 4 | 40.04 | 20 |
| 4 0 0 | 47.14 | 50 |
| 0 4 2 | 51.73 | 20 |
| 2 2 6 | 60.87 | 18 |

Structural model:
```
data_CeAgS4
_chemical_formula_sum 'Ce4 Ag4 S16'
_cell_length_a 7.7174
_cell_length_b 7.4573
_cell_length_c 11.0914
_cell_angle_alpha 90.00
_cell_angle_beta 90.00
_cell_angle_gamma 90.00
_symmetry_space_group_name_H-M 'C m c m'
_symmetry_Int_Tables_number 63
_symmetry_space_group_name_Hall '-C 2c 2'
loop_
_atom_site_label
_atom_site_fract_x
_atom_site_fract_y
_atom_site_fract_z
Ce1 0.0000 0.0008 0.2500
Ag1 0.0000 0.4980 0.7500
S1 0.0000 0.1345 0.0003
S2 0.2504 0.2486 0.7500
```



Entry 5:
For Ce3ScAg3S8, the GGA-PBE geometry in Alexandria gives the simulated powder XRD pattern in this record (Cu Kα, 1.54184 Å).

The 12 most intense peaks (2θ = 5–70°), low angle first:
| h k l | Position (°2θ) | I (rel.) |
| --- | --- | --- |
| 2 0 0 | 15.91 | 20 |
| 1 1 1 | 21.76 | 10 |
| 3 1 -1 | 23.37 | 8 |
| 2 2 0 | 27.07 | 39 |
| 4 0 -2 | 29.67 | 10 |
| 4 0 0 | 32.14 | 100 |
| 2 2 2 | 44.35 | 39 |
| 6 2 -2 | 47.78 | 31 |
| 4 0 2 | 52.73 | 7 |
| 4 4 -2 | 54.24 | 8 |
| 4 4 0 | 55.82 | 19 |
| 4 4 -4 | 67.18 | 7 |

Structural model:
```
data_Ce3ScAg3S8
_chemical_formula_sum 'Ce6 Sc2 Ag6 S16'
_cell_length_a 12.9229
_cell_length_b 8.1724
_cell_length_c 7.6579
_cell_angle_alpha 90.00
_cell_angle_beta 120.59
_cell_angle_gamma 90.00
_symmetry_space_group_name_H-M 'C 1 2/m 1'
_symmetry_Int_Tables_number 12
_symmetry_space_group_name_Hall '-C 2y'
loop_
_atom_site_label
_atom_site_fract_x
_atom_site_fract_y
_atom_site_fract_z
Ce1 0.0000 0.0000 0.0000
Ce2 0.2500 0.2500 0.5000
Sc1 0.0000 0.5000 0.0000
Ag1 0.0000 0.5000 0.5000
Ag2 0.2500 0.2500 0.0000
S1 0.0004 0.2642 0.2347
S2 0.2355 0.5000 0.2371
S3 0.2497 0.0000 0.2511
```



Entry 6:
For CeScAgS4, the GGA-PBE geometry in Alexandria gives the simulated powder XRD pattern in this record (Cu Kα, 1.54184 Å).

The 12 most intense peaks (2θ = 5–70°), low angle first:
| h k l | Position (°2θ) | I (rel.) |
| --- | --- | --- |
| 1 0 1 | 14.23 | 27 |
| 1 1 2 | 22.84 | 41 |
| 2 0 0 | 23.52 | 32 |
| 1 2 1 | 26.12 | 100 |
| 1 0 3 | 27.18 | 96 |
| 2 2 0 | 32.28 | 27 |
| 2 3 1 | 41.74 | 20 |
| 3 2 1 | 42.99 | 39 |
| 0 4 0 | 44.42 | 23 |
| 2 2 4 | 46.65 | 78 |
| 4 0 0 | 48.11 | 19 |
| 1 4 3 | 52.85 | 22 |

Structural model:
```
data_CeScAgS4
_chemical_formula_sum 'Ce4 Sc4 Ag4 S16'
_cell_length_a 7.5656
_cell_length_b 8.1570
_cell_length_c 10.9371
_cell_angle_alpha 90.00
_cell_angle_beta 90.00
_cell_angle_gamma 90.00
_symmetry_space_group_name_H-M 'I m m a'
_symmetry_Int_Tables_number 74
_symmetry_space_group_name_Hall '-I 2b 2'
loop_
_atom_site_label
_atom_site_fract_x
_atom_site_fract_y
_atom_site_fract_z
Ce1 0.0000 0.0000 0.0000
Sc1 0.2500 0.2500 0.2500
Ag1 0.0000 0.2500 0.6424
S1 0.0000 0.0305 0.2480
S2 0.2402 0.2500 0.0127
```



Entry 7:
For Ce3SiAgS7, the GGA-PBE geometry in Alexandria gives the simulated powder XRD pattern in this record (Cu Kα, 1.54184 Å).

The 12 most intense peaks (2θ = 5–70°), low angle first:
| h k l | Position (°2θ) | I (rel.) |
| --- | --- | --- |
| 1 0 0 | 9.88 | 72 |
| 1 1 1 | 23.09 | 46 |
| 2 0 1 | 25.17 | 100 |
| 1 2 0 | 26.34 | 67 |
| 0 0 2 | 30.96 | 36 |
| 1 0 2 | 32.57 | 39 |
| 2 2 0 | 34.71 | 57 |
| 1 3 0 | 36.17 | 77 |
| 3 1 1 | 39.50 | 52 |
| 1 2 2 | 41.08 | 76 |
| 1 3 2 | 48.34 | 44 |
| 5 1 2 | 66.56 | 33 |

Structural model:
```
data_Ce3SiAgS7
_chemical_formula_sum 'Ce6 Si2 Ag2 S14'
_cell_length_a 10.3385
_cell_length_b 10.3385
_cell_length_c 5.7771
_cell_angle_alpha 90.00
_cell_angle_beta 90.00
_cell_angle_gamma 120.00
_symmetry_space_group_name_H-M 'P 63'
_symmetry_Int_Tables_number 173
_symmetry_space_group_name_Hall 'P 6c'
loop_
_atom_site_label
_atom_site_fract_x
_atom_site_fract_y
_atom_site_fract_z
Ce1 0.1236 0.3593 0.0000
Si1 0.3333 0.6667 0.4119
Ag1 0.0000 0.0000 0.0601
S1 0.0910 0.2681 0.5160
S2 0.1151 0.5905 0.2679
S3 0.3333 0.6667 0.7784
```



Entry 8:
For CeAgSnS4, the GGA-PBE geometry in Alexandria gives the simulated powder XRD pattern in this record (Cu Kα, 1.54184 Å).

The 12 most intense peaks (2θ = 5–70°), low angle first:
| h k l | Position (°2θ) | I (rel.) |
| --- | --- | --- |
| 1 1 2 | 22.31 | 36 |
| 1 2 1 | 25.89 | 86 |
| 0 1 3 | 26.03 | 32 |
| 1 0 3 | 26.30 | 48 |
| 2 1 1 | 26.70 | 71 |
| 0 0 4 | 31.65 | 22 |
| 2 2 0 | 31.87 | 43 |
| 0 1 5 | 41.36 | 46 |
| 3 2 1 | 42.23 | 27 |
| 0 4 0 | 44.33 | 27 |
| 2 2 4 | 45.53 | 100 |
| 4 0 0 | 47.02 | 23 |

Structural model:
```
data_CeAgSnS4
_chemical_formula_sum 'Ce4 Ag4 Sn4 S16'
_cell_length_a 7.7296
_cell_length_b 8.1740
_cell_length_c 11.3095
_cell_angle_alpha 90.00
_cell_angle_beta 90.00
_cell_angle_gamma 90.00
_symmetry_space_group_name_H-M 'I m m a'
_symmetry_Int_Tables_number 74
_symmetry_space_group_name_Hall '-I 2b 2'
loop_
_atom_site_label
_atom_site_fract_x
_atom_site_fract_y
_atom_site_fract_z
Ce1 0.0000 0.0000 0.0000
Ag1 0.0000 0.2500 0.3684
Sn1 0.2500 0.2500 0.7500
S1 0.0000 0.0200 0.7533
S2 0.2391 0.2500 0.9882
```



Entry 9:
For Ce2AgSb3, the GGA-PBE geometry in Alexandria gives the simulated powder XRD pattern in this record (Cu Kα, 1.54184 Å).

The 12 most intense peaks (2θ = 5–70°), low angle first:
| h k l | Position (°2θ) | I (rel.) |
| --- | --- | --- |
| 0 2 0 | 28.40 | 53 |
| 1 0 3 | 28.93 | 100 |
| 2 0 0 | 39.42 | 22 |
| 1 2 3 | 40.99 | 77 |
| 0 0 6 | 43.26 | 16 |
| 2 2 0 | 49.30 | 23 |
| 0 2 6 | 52.56 | 18 |
| 0 4 0 | 58.76 | 7 |
| 2 0 6 | 59.95 | 12 |
| 3 0 3 | 65.15 | 10 |
| 1 4 3 | 66.81 | 18 |
| 2 2 6 | 67.64 | 17 |

Structural model:
```
data_Ce2AgSb3
_chemical_formula_sum 'Ce4 Ag2 Sb6'
_cell_length_a 4.5718
_cell_length_b 6.2852
_cell_length_c 12.5486
_cell_angle_alpha 90.00
_cell_angle_beta 90.00
_cell_angle_gamma 90.00
_symmetry_space_group_name_H-M 'I m m m'
_symmetry_Int_Tables_number 71
_symmetry_space_group_name_Hall '-I 2 2'
loop_
_atom_site_label
_atom_site_fract_x
_atom_site_fract_y
_atom_site_fract_z
Ce1 0.0000 0.0000 0.1710
Ag1 0.0000 0.0000 0.5000
Sb1 0.0000 0.5000 0.1592
Sb2 0.0000 0.5000 0.5000
```



Entry 10:
For Ce2AgSb4, the GGA-PBE geometry in Alexandria gives the simulated powder XRD pattern in this record (Cu Kα, 1.54184 Å).

The 12 most intense peaks (2θ = 5–70°), low angle first:
| h k l | Position (°2θ) | I (rel.) |
| --- | --- | --- |
| 0 0 3 | 26.88 | 11 |
| 1 0 2 | 27.03 | 16 |
| 1 1 1 | 30.05 | 14 |
| 1 0 3 | 33.83 | 13 |
| 1 1 2 | 33.95 | 100 |
| 0 0 4 | 36.11 | 10 |
| 2 0 0 | 40.96 | 39 |
| 2 0 3 | 49.72 | 14 |
| 1 0 5 | 50.31 | 13 |
| 2 0 4 | 55.74 | 12 |
| 2 2 0 | 59.32 | 13 |
| 2 1 5 | 66.81 | 11 |

Structural model:
```
data_Ce2AgSb4
_chemical_formula_sum 'Ce2 Ag1 Sb4'
_cell_length_a 4.4065
_cell_length_b 4.4065
_cell_length_c 9.9496
_cell_angle_alpha 90.00
_cell_angle_beta 90.00
_cell_angle_gamma 90.00
_symmetry_space_group_name_H-M 'P -4 m 2'
_symmetry_Int_Tables_number 115
_symmetry_space_group_name_Hall 'P -4 -2'
loop_
_atom_site_label
_atom_site_fract_x
_atom_site_fract_y
_atom_site_fract_z
Ce1 0.0000 0.5000 0.2494
Ag1 0.5000 0.5000 0.0000
Sb1 0.0000 0.0000 0.5000
Sb2 0.0000 0.5000 0.8283
Sb3 0.5000 0.5000 0.5000
```



Entry 11:
For CeAg5Se5, the GGA-PBE geometry in Alexandria gives the simulated powder XRD pattern in this record (Cu Kα, 1.54184 Å).

The 12 most intense peaks (2θ = 5–70°), low angle first:
| h k l | Position (°2θ) | I (rel.) |
| --- | --- | --- |
| 1 1 2 | 24.25 | 40 |
| 0 1 2 | 24.46 | 99 |
| 1 -1 1 | 28.54 | 49 |
| 2 1 1 | 31.65 | 58 |
| 2 1 0 | 32.97 | 55 |
| 0 2 -1 | 33.20 | 100 |
| 1 2 -1 | 33.80 | 48 |
| 0 1 3 | 35.05 | 85 |
| 2 2 3 | 41.69 | 39 |
| 0 3 2 | 44.34 | 63 |
| 2 3 0 | 45.64 | 50 |
| 2 0 -2 | 46.13 | 49 |

Structural model:
```
data_CeAg5Se5
_chemical_formula_sum 'Ce1 Ag5 Se5'
_cell_length_a 5.6704
_cell_length_b 7.0407
_cell_length_c 8.1272
_cell_angle_alpha 71.91
_cell_angle_beta 73.84
_cell_angle_gamma 66.57
_symmetry_space_group_name_H-M 'P -1'
_symmetry_Int_Tables_number 2
_symmetry_space_group_name_Hall '-P 1'
loop_
_atom_site_label
_atom_site_fract_x
_atom_site_fract_y
_atom_site_fract_z
Ce1 0.0000 0.0000 0.0000
Ag1 0.0397 0.7107 0.4646
Ag2 0.3795 0.4122 0.8508
Ag3 0.5000 0.0000 0.5000
Se1 0.1280 0.5647 0.1933
Se2 0.1879 0.8179 0.6879
Se3 0.5000 0.0000 0.0000
```



Entry 12:
For CeTl2Ag2Se4, the GGA-PBE geometry in Alexandria gives the simulated powder XRD pattern in this record (Cu Kα, 1.54184 Å).

The 12 most intense peaks (2θ = 5–70°), low angle first:
| h k l | Position (°2θ) | I (rel.) |
| --- | --- | --- |
| 4 0 -1 | 23.24 | 22 |
| 4 0 -2 | 27.57 | 70 |
| 1 1 -2 | 30.64 | 100 |
| 4 0 1 | 31.11 | 28 |
| 3 1 -2 | 32.21 | 48 |
| 3 1 1 | 32.90 | 90 |
| 4 0 -3 | 35.81 | 21 |
| 6 0 0 | 37.35 | 28 |
| 5 1 -2 | 38.16 | 19 |
| 0 2 0 | 42.00 | 55 |
| 7 1 -2 | 47.09 | 23 |
| 3 1 3 | 51.55 | 22 |

Structural model:
```
data_CeTl2Ag2Se4
_chemical_formula_sum 'Ce2 Tl4 Ag4 Se8'
_cell_length_a 15.4522
_cell_length_b 4.3011
_cell_length_c 7.9828
_cell_angle_alpha 90.00
_cell_angle_beta 110.81
_cell_angle_gamma 90.00
_symmetry_space_group_name_H-M 'C 1 2/m 1'
_symmetry_Int_Tables_number 12
_symmetry_space_group_name_Hall '-C 2y'
loop_
_atom_site_label
_atom_site_fract_x
_atom_site_fract_y
_atom_site_fract_z
Ce1 0.0000 0.0000 0.0000
Tl1 0.1368 0.0000 0.5765
Ag1 0.1805 0.5000 0.9855
Se1 0.0074 0.5000 0.7602
Se2 0.1978 0.0000 0.2038
```